PmSm6Ho5: calculated XRD peak list (Cu Kα (λ = 1.5418 Å)), based on a crystal structure in Alexandria, relaxed with PBE.
Kinematic intensities with the Lorentz-polarization factor, no thermal factor.

Peak list (10 most intense, 2θ from 10° to 90°, in order of falling intensity)
hkl 1 2 3, d = 2.927 Å, I 100
hkl 2 0 0, d = 2.535 Å, I 51
hkl 2 4 0, d = 1.793 Å, I 36
hkl 3 2 3, d = 1.530 Å, I 29
hkl 1 6 3, d = 1.527 Å, I 14
hkl 2 4 6, d = 1.464 Å, I 12
hkl 3 6 3, d = 1.163 Å, I 12
hkl 4 4 0, d = 1.134 Å, I 11
hkl 3 2 9, d = 1.164 Å, I 6
hkl 2 8 0, d = 1.132 Å, I 5

Structural model:
```
data_PmSm6Ho5
_chemical_formula_sum 'Pm2 Sm12 Ho10'
_cell_length_a 5.075
_cell_length_b 10.123
_cell_length_c 15.221
_cell_angle_alpha 90.00
_cell_angle_beta 90.00
_cell_angle_gamma 90.00
_symmetry_space_group_name_H-M 'I m m m'
_symmetry_Int_Tables_number 71
_symmetry_space_group_name_Hall '-I 2 2'
loop_
_atom_site_label
_atom_site_fract_x
_atom_site_fract_y
_atom_site_fract_z
Pm1 0.000 0.000 0.000
Sm1 0.000 0.248 0.500
Sm2 0.000 0.251 0.167
Ho1 0.000 0.000 0.333
Ho2 0.000 0.500 0.000
Ho3 0.000 0.500 0.333
```